Simulated X-ray powder pattern of NdErGaHg for Cu Ka, from DFT lattice parameters and positions (PBE).
Intensities are scaled so that the largest is 100.

Main lines, low angle first (5 to 70 degrees two-theta):
2θ = 20.7°, I 11
2θ = 24.0°, I 1
2θ = 34.2°, I 100
2θ = 40.3°, I 6
2θ = 49.1°, I 18
2θ = 53.8°, I 3
2θ = 61.2°, I 37
2θ = 65.3°, I 2

Structural model:
```
NdErGaHg
1.0
0.000 3.711 3.711
3.711 0.000 3.711
3.711 3.711 0.000
Nd Er Ga Hg
1 1 1 1
Direct
0.000 0.000 0.000
0.500 0.500 0.500
0.750 0.750 0.750
0.250 0.250 0.250
```

***

Simulated X-ray powder pattern of P7SeCl for Cu Ka, from DFT lattice parameters and positions (PBE).
Intensities are scaled so that the largest is 100.

Main lines, low angle first (5 to 70 degrees two-theta):
2θ = 9.4°, I 82
2θ = 10.4°, I 44
2θ = 12.1°, I 100
2θ = 13.8°, I 15
2θ = 14.3°, I 55
2θ = 15.4°, I 23
2θ = 22.5°, I 16
2θ = 27.8°, I 14
2θ = 29.8°, I 12
2θ = 31.1°, I 12

Structural model:
```
P7SeCl
1.0
8.588 0.000 0.000
-3.270 8.520 0.000
-0.207 -0.364 9.395
P Se Cl
14 2 2
Direct
0.000 0.000 0.000
0.007 0.075 0.401
0.161 0.857 0.507
0.220 0.872 0.274
0.274 0.090 0.416
0.315 0.237 0.773
0.468 0.409 0.943
0.576 0.523 0.744
0.589 0.291 0.798
0.612 0.812 0.067
0.749 0.703 0.195
0.763 0.880 0.881
0.839 0.677 0.820
0.983 0.906 0.236
0.243 0.008 0.905
0.889 0.591 0.035
0.010 0.224 0.032
0.368 0.789 0.571
```